# 1
Theoretical PXRD pattern of La3YO6 for CuKα, from a structure optimized by DFT (GGA-PBE).
Neutral-atom scattering factors, no anomalous dispersion.

Structure:
Cell: 10.1718 10.1718 11.8634 Å, 90.00 90.00 120.00°
Space group R-3 (No. 148, hexagonal axes)
One atom of each set of equivalent atoms:
La 0.0384 0.7725 0.2096
Y 0.0000 0.0000 0.0000
Y 0.0000 0.0000 0.5000
O 0.0273 0.8423 0.8767
O 0.0312 0.8177 0.4054

Peak list (8 most intense, 2θ = 10–80°, low angle first)
2θ/deg	I/Imax
22.48	36.5
25.18	25.6
27.83	100.0
28.59	46.1
30.80	58.5
40.74	28.0
47.29	31.1
49.46	22.7

***

# 2
Theoretical PXRD pattern of La2ZrO5 for CuKα, from a structure optimized by DFT (GGA-PBE).
Neutral-atom scattering factors, no anomalous dispersion.

Structure:
Cell: 7.8212 3.9224 16.6069 Å, 90.00 90.00 90.00°
Space group Pnma (No. 62)
One atom of each set of equivalent atoms:
La 0.1169 0.2500 0.0829
La 0.1325 0.2500 0.7436
Zr 0.1252 0.2500 0.4283
O 0.0865 0.7500 0.6527
O 0.0967 0.7500 0.4680
O 0.1084 0.7500 0.1746
O 0.1454 0.7500 0.9991
O 0.2095 0.7500 0.8317

Peak list (8 most intense, 2θ = 10–80°, low angle first)
2θ/deg	I/Imax
27.91	100.0
32.33	32.4
46.29	9.2
46.39	38.3
54.99	42.1
67.67	6.4
74.72	10.0
77.04	10.3

***

# 3
Theoretical PXRD pattern of La5Os3 for CuKα, from a structure optimized by DFT (GGA-PBE).
Neutral-atom scattering factors, no anomalous dispersion.

Structure:
Cell: 6.6101 7.8463 9.0857 Å, 85.79 68.72 78.35°
Space group P-1 (No. 2)
One atom of each set of equivalent atoms:
La 0.0094 0.1996 0.1118
La 0.1589 0.3728 0.7176
La 0.2649 0.9525 0.5003
La 0.3764 0.3731 0.2834
La 0.3787 0.8005 0.1122
Os 0.0390 0.6913 0.4999
Os 0.2508 0.5000 0.9979
Os 0.3489 0.0000 0.8018

Peak list (8 most intense, 2θ = 10–80°, low angle first)
2θ/deg	I/Imax
29.80	100.0
33.05	56.4
33.84	52.3
34.10	94.7
34.94	42.3
36.65	45.9
38.54	58.5
38.66	67.2

***

# 4
Theoretical PXRD pattern of LaPOs2 for CuKα, from a structure optimized by DFT (GGA-PBE).
Neutral-atom scattering factors, no anomalous dispersion.

Structure:
Cell: 3.0263 4.2765 5.8845 Å, 90.00 100.62 90.00°
Space group Pm (No. 6)
One atom of each set of equivalent atoms:
La 0.0000 0.0000 0.0000
P 0.4010 0.5000 0.6953
Os 0.3932 0.0000 0.4928
Os 0.8077 0.5000 0.3726

Peak list (8 most intense, 2θ = 10–80°, low angle first)
2θ/deg	I/Imax
15.32	88.9
25.91	19.2
30.92	41.9
36.42	34.1
36.81	34.0
37.55	61.3
37.76	100.0
42.28	81.7

***

# 5
Theoretical PXRD pattern of LaPOs4 for CuKα, from a structure optimized by DFT (GGA-PBE).
Neutral-atom scattering factors, no anomalous dispersion.

Structure:
Cell: 7.5490 7.5490 7.5490 Å, 90.00 90.00 90.00°
Space group F-43m (No. 216)
One atom of each set of equivalent atoms:
La 0.0000 0.0000 0.0000
P 0.2500 0.2500 0.2500
Os 0.1239 0.1239 0.6239

Peak list (8 most intense, 2θ = 10–80°, low angle first)
2θ/deg	I/Imax
20.38	49.3
39.60	100.0
41.44	67.8
48.22	19.7
52.86	13.2
64.10	32.9
70.58	31.3
74.34	9.3

***

# 6
Theoretical PXRD pattern of La8Os2Pb for CuKα, from a structure optimized by DFT (GGA-PBE).
Neutral-atom scattering factors, no anomalous dispersion.

Structure:
Cell: 8.9403 14.1948 5.6606 Å, 90.00 102.06 90.00°
Space group C2/m (No. 12)
One atom of each set of equivalent atoms:
La 0.0000 0.2462 0.0000
La 0.0979 0.0000 0.7927
La 0.2012 0.3727 0.5484
Os 0.0000 0.1991 0.5000
Pb 0.0000 0.5000 0.0000

Peak list (8 most intense, 2θ = 10–80°, low angle first)
2θ/deg	I/Imax
20.33	55.4
28.54	45.3
29.91	91.7
32.20	73.0
32.39	79.8
32.50	100.0
36.06	42.7
36.20	50.9

***

# 7
Theoretical PXRD pattern of La4PmOs2 for CuKα, from a structure optimized by DFT (GGA-PBE).
Neutral-atom scattering factors, no anomalous dispersion.

Structure:
Cell: 8.0250 6.7655 8.0487 Å, 90.00 111.81 90.00°
Space group P2_1/m (No. 11)
One atom of each set of equivalent atoms:
La 0.0274 0.2500 0.3767
La 0.2411 0.7500 0.3161
La 0.4176 0.0007 0.7608
Pm 0.1545 0.2500 0.0246
Os 0.2448 0.7500 0.9833
Os 0.3686 0.2500 0.4058

Peak list (8 most intense, 2θ = 10–80°, low angle first)
2θ/deg	I/Imax
26.35	57.1
29.62	67.2
30.51	72.6
33.34	44.4
34.81	100.0
35.82	93.6
38.62	44.8
54.25	48.3

***

# 8
Theoretical PXRD pattern of La3PrOs for CuKα, from a structure optimized by DFT (GGA-PBE).
Neutral-atom scattering factors, no anomalous dispersion.

Structure:
Cell: 7.9807 6.7911 6.5952 Å, 90.00 90.00 90.00°
Space group Pmn2_1 (No. 31)
One atom of each set of equivalent atoms:
La 0.0000 0.1590 0.0000
La 0.2484 0.6748 0.9945
Pr 0.0000 0.8376 0.4955
Os 0.0000 0.4921 0.2414

Peak list (8 most intense, 2θ = 10–80°, low angle first)
2θ/deg	I/Imax
17.44	26.9
21.84	30.0
29.28	100.0
29.59	47.2
37.79	46.1
38.04	23.4
46.10	33.4
49.18	23.6

***

# 9
Theoretical PXRD pattern of La2ReOs2 for CuKα, from a structure optimized by DFT (GGA-PBE).
Neutral-atom scattering factors, no anomalous dispersion.

Structure:
Cell: 6.6483 6.6483 4.9980 Å, 90.00 90.00 90.00°
Space group P4/mbm (No. 127)
One atom of each set of equivalent atoms:
La 0.1824 0.3176 0.0000
Re 0.0000 0.0000 0.5000
Os 0.1353 0.6353 0.5000

Peak list (8 most intense, 2θ = 10–80°, low angle first)
2θ/deg	I/Imax
17.75	24.1
32.34	28.8
35.12	100.0
35.94	37.5
43.02	32.5
46.88	16.4
57.27	28.2
64.07	17.6

***

# 10
Theoretical PXRD pattern of La5OsRh for CuKα, from a structure optimized by DFT (GGA-PBE).
Neutral-atom scattering factors, no anomalous dispersion.

Structure:
Cell: 7.4845 4.1299 15.1590 Å, 90.00 92.37 90.00°
Space group P2_1/m (No. 11)
One atom of each set of equivalent atoms:
La 0.0807 0.2500 0.2212
La 0.1224 0.2500 0.5899
La 0.2174 0.7500 0.9991
La 0.3739 0.7500 0.4108
La 0.3952 0.2500 0.7935
Os 0.0854 0.2500 0.8774
Rh 0.3692 0.7500 0.6197

Peak list (8 most intense, 2θ = 10–80°, low angle first)
2θ/deg	I/Imax
13.42	76.0
27.09	37.1
27.91	32.2
29.13	67.6
29.49	39.3
30.70	100.0
32.30	48.2
43.84	37.2

***

# 11
Theoretical PXRD pattern of La6OsRu for CuKα, from a structure optimized by DFT (GGA-PBE).
Neutral-atom scattering factors, no anomalous dispersion.

Structure:
Cell: 6.9334 6.9334 13.4060 Å, 90.00 90.00 120.00°
Space group P-31c (No. 163)
One atom of each set of equivalent atoms:
La 0.0017 0.3344 0.1244
Os 0.3333 0.6667 0.2500
Ru 0.0000 0.0000 0.0000

Peak list (8 most intense, 2θ = 10–80°, low angle first)
2θ/deg	I/Imax
16.17	21.0
19.85	19.2
29.00	100.0
37.32	48.7
45.31	37.0
48.47	24.1
54.72	23.5
73.71	30.3

***

# 12
Theoretical PXRD pattern of La8OsRu3 for CuKα, from a structure optimized by DFT (GGA-PBE).
Neutral-atom scattering factors, no anomalous dispersion.

Structure:
Cell: 17.3054 5.6405 9.1705 Å, 90.00 108.11 90.00°
Space group Cm (No. 8)
One atom of each set of equivalent atoms:
La 0.0000 0.0000 0.0000
La 0.0358 0.5000 0.3217
La 0.1076 0.0000 0.6503
La 0.1528 0.5000 0.9827
La 0.2249 0.0000 0.3121
La 0.2615 0.5000 0.6330
La 0.3249 0.0000 0.9719
La 0.4362 0.0000 0.6601
Os 0.1734 0.0000 0.0096
Ru 0.0840 0.5000 0.6140
Ru 0.2790 0.0000 0.6125
Ru 0.4824 0.0000 0.0217

Peak list (8 most intense, 2θ = 10–80°, low angle first)
2θ/deg	I/Imax
10.76	51.3
16.62	69.5
26.91	93.5
30.77	92.9
31.01	93.0
31.73	100.0
44.79	65.9
44.95	66.6

***

# 13
Theoretical PXRD pattern of La3SbOs for CuKα, from a structure optimized by DFT (GGA-PBE).
Neutral-atom scattering factors, no anomalous dispersion.

Structure:
Cell: 12.8075 4.4306 11.1513 Å, 90.00 104.43 90.00°
Space group C2/m (No. 12)
One atom of each set of equivalent atoms:
La 0.0949 0.0000 0.3901
La 0.1324 0.5000 0.1129
La 0.1439 0.5000 0.6771
Sb 0.0907 0.0000 0.8849
Os 0.2267 0.5000 0.3882

Peak list (8 most intense, 2θ = 10–80°, low angle first)
2θ/deg	I/Imax
14.59	19.4
29.55	22.9
31.17	100.0
31.43	25.2
33.18	41.8
36.62	43.7
40.73	35.7
53.51	21.5